This entry pairs a crystal structure of La2MgFe2O6 with its theoretical powder X-ray diffraction pattern. Radiation: CuKα. Structure: a crystal structure in the Materials Project, relaxed with PBE+U.

Peak list (6 most intense, 2θ = 10–90°, sorted by position)
(0 0 1), d 5.396, 2θ 16.43, I = 40
(1 -1 0), d 2.952, 2θ 30.28, I = 100
(2 1 1), d 2.942, 2θ 30.38, I = 49
(1 1 -1), d 2.749, 2θ 32.57, I = 49
(0 1 2), d 2.739, 2θ 32.69, I = 48
(1 0 2), d 2.715, 2θ 32.99, I = 47

Structural model:
a = 5.885 Å, b = 5.901 Å, c = 6.341 Å
α = 62.67°, β = 63.27°, γ = 60.15°
Positions (direct):
La 0.000 0.000 0.000
La 0.394 0.397 0.813
Mg 0.617 0.616 0.155
Fe 0.200 0.203 0.395
Fe 0.790 0.795 0.619
O 0.075 0.838 0.655
O 0.321 0.565 0.143
O 0.427 0.081 0.653
O 0.564 0.975 0.143
O 0.833 0.432 0.652
O 0.975 0.321 0.142